Structure and calculated PXRD pattern of PmPr3Al (a structure optimized by DFT (GGA-PBE); a wavelength of 1.5418 Å).
Peak positions follow from Bragg's law for the DFT cell and can differ from measured ones.

abc: 3.796 8.852 10.035
angles: 103.37 100.90 90.02
Fractional coordinates of all 10 atoms:
Pm1 0.093 0.041 0.189
Pm2 0.907 0.959 0.811
Pr1 0.303 0.178 0.605
Pr2 0.315 0.622 0.629
Pr3 0.498 0.704 0.998
Pr4 0.502 0.296 0.002
Pr5 0.685 0.378 0.371
Pr6 0.697 0.822 0.395
Al1 0.102 0.565 0.205
Al2 0.898 0.435 0.795

Top 8 peaks for 10° ≤ 2θ ≤ 90°, sorted by position:
3.476 Å, I = 14
2.944 Å, I = 14
2.913 Å, I = 30
2.881 Å, I = 100
2.697 Å, I = 31
2.696 Å, I = 31
1.590 Å, I = 21
1.585 Å, I = 16

Structure and calculated PXRD pattern of K3Ce3GaSe8 (a structure optimized by DFT (GGA-PBE); a wavelength of 1.5418 Å).
Peak positions follow from Bragg's law for the DFT cell and can differ from measured ones.

abc: 9.177 9.177 9.177
angles: 54.96 54.96 54.96
Fractional coordinates of all 15 atoms:
K1 0.000 0.500 0.500
K2 0.500 0.000 0.500
K3 0.500 0.500 0.000
Ce1 0.000 0.000 0.500
Ce2 0.000 0.500 0.000
Ce3 0.500 0.000 0.000
Ga1 0.500 0.500 0.500
Se1 0.237 0.237 0.237
Se2 0.246 0.723 0.723
Se3 0.277 0.277 0.754
Se4 0.277 0.754 0.277
Se5 0.723 0.246 0.723
Se6 0.723 0.723 0.246
Se7 0.754 0.277 0.277
Se8 0.763 0.763 0.763

Top 8 peaks for 10° ≤ 2θ ≤ 90°, sorted by position:
7.765 Å, I = 66
3.103 Å, I = 100
2.465 Å, I = 25
2.281 Å, I = 30
2.117 Å, I = 36
1.749 Å, I = 18
1.348 Å, I = 14
1.252 Å, I = 17

Structure and calculated PXRD pattern of Pm8Nd3Ho4 (a structure optimized by DFT (GGA-PBE); a wavelength of 1.5418 Å).
Peak positions follow from Bragg's law for the DFT cell and can differ from measured ones.

abc: 9.298 9.298 6.906
angles: 111.64 111.64 82.21
Fractional coordinates of all 15 atoms:
Pm1 0.205 0.205 0.198
Pm2 0.205 0.795 0.000
Pm3 0.253 0.253 0.741
Pm4 0.253 0.747 0.500
Pm5 0.747 0.253 0.500
Pm6 0.747 0.747 0.259
Pm7 0.795 0.205 0.000
Pm8 0.795 0.795 0.802
Nd1 0.000 0.000 0.500
Nd2 0.000 0.500 0.000
Nd3 0.500 0.000 0.000
Ho1 0.000 0.500 0.500
Ho2 0.500 0.000 0.500
Ho3 0.500 0.500 0.000
Ho4 0.500 0.500 0.500

Top 8 peaks for 10° ≤ 2θ ≤ 90°, sorted by position:
3.453 Å, I = 16
3.056 Å, I = 100
3.008 Å, I = 41
2.698 Å, I = 48
2.161 Å, I = 32
2.146 Å, I = 15
2.140 Å, I = 15
1.756 Å, I = 14

Structure and calculated PXRD pattern of Ce2PmDyS5 (a structure optimized by DFT (GGA-PBE); a wavelength of 1.5418 Å).
Peak positions follow from Bragg's law for the DFT cell and can differ from measured ones.

abc: 4.906 4.906 10.489
angles: 90.00 90.00 90.00
Fractional coordinates of all 9 atoms:
Ce1 0.000 0.000 0.194
Ce2 0.000 0.000 0.806
Pm1 0.500 0.500 0.500
Dy1 0.500 0.500 0.000
S1 0.000 0.000 0.500
S2 0.000 0.500 0.000
S3 0.500 0.000 0.000
S4 0.500 0.500 0.252
S5 0.500 0.500 0.748

Top 8 peaks for 10° ≤ 2θ ≤ 90°, sorted by position:
3.583 Å, I = 97
3.469 Å, I = 100
2.847 Å, I = 26
2.462 Å, I = 22
2.453 Å, I = 58
2.024 Å, I = 42
1.791 Å, I = 20
1.734 Å, I = 20

Structure and calculated PXRD pattern of LiSc2Tl4 (a structure optimized by DFT (GGA-PBE); a wavelength of 1.5418 Å).
Peak positions follow from Bragg's law for the DFT cell and can differ from measured ones.

abc: 6.099 6.099 4.962
angles: 90.00 90.00 108.74
Fractional coordinates of all 7 atoms:
Li1 0.000 0.000 0.000
Sc1 0.232 0.768 0.500
Sc2 0.768 0.232 0.500
Tl1 0.000 0.500 0.000
Tl2 0.279 0.279 0.500
Tl3 0.500 0.000 0.000
Tl4 0.721 0.721 0.500

Top 8 peaks for 10° ≤ 2θ ≤ 90°, sorted by position:
3.553 Å, I = 38
3.507 Å, I = 81
2.496 Å, I = 100
2.480 Å, I = 52
2.033 Å, I = 35
1.753 Å, I = 18
1.568 Å, I = 17
1.435 Å, I = 35